1.
Computed X-ray diffraction stick pattern of Ce2Sc2Ge2C for Cu Kα (λ = 1.5418 Å), from a structure optimized by DFT (GGA-PBE).
Neutral-atom scattering factors, no anomalous dispersion.

Most intense lines, 2θ from 10° to 90°, in order of rising 2θ:
26.43 deg, intensity 40; 28.41 deg, intensity 88; 30.70 deg, intensity 58; 34.64 deg, intensity 34; 35.25 deg, intensity 47; 36.80 deg, intensity 100; 40.62 deg, intensity 76; 54.42 deg, intensity 35; 54.85 deg, intensity 25; 71.40 deg, intensity 27

Crystal structure
```
7
Lattice="-2.2212 2.2212 7.7687 2.2212 -2.2212 7.7687 2.2212 2.2212 -7.7687" Properties=species:S:1:pos:R:3 pbc="T T T"
Ce 0.0000 0.0000 2.5796
Ce 0.0000 0.0000 12.9579
Sc 2.2212 0.0000 0.0000
Sc 0.0000 2.2212 0.0000
Ge 0.0000 0.0000 5.7736
Ge 0.0000 0.0000 9.7639
C 0.0000 0.0000 0.0000
```

2.
Computed X-ray diffraction stick pattern of Ce4H2CO for Cu Kα (λ = 1.5418 Å), from a structure optimized by DFT (GGA-PBE).
Neutral-atom scattering factors, no anomalous dispersion.

Most intense lines, 2θ from 10° to 90°, in order of rising 2θ:
29.66 deg, intensity 54; 30.90 deg, intensity 100; 31.08 deg, intensity 49; 35.48 deg, intensity 86; 35.62 deg, intensity 42; 50.23 deg, intensity 30; 52.06 deg, intensity 28; 59.46 deg, intensity 22; 61.07 deg, intensity 29; 61.59 deg, intensity 22

Crystal structure
```
8
Lattice="6.0729 0.0000 0.0000 0.0000 3.5342 0.0000 -2.0268 0.0000 6.0236" Properties=species:S:1:pos:R:3 pbc="T T T"
Ce 1.0149 0.0000 1.4107
Ce 0.0116 1.7671 4.5590
Ce 4.0346 1.7671 1.4646
Ce 3.0312 0.0000 4.6128
H -1.0134 0.0000 3.0118
H 2.0231 1.7671 3.0118
C 3.0365 0.0000 0.0000
O 0.0000 1.7671 0.0000
```

3.
Computed X-ray diffraction stick pattern of Ce4HCO2 for Cu Kα (λ = 1.5418 Å), from a structure optimized by DFT (GGA-PBE).
Neutral-atom scattering factors, no anomalous dispersion.

Most intense lines, 2θ from 10° to 90°, in order of rising 2θ:
30.37 deg, intensity 51; 30.67 deg, intensity 100; 30.83 deg, intensity 49; 35.25 deg, intensity 95; 36.05 deg, intensity 45; 50.80 deg, intensity 17; 51.01 deg, intensity 32; 51.61 deg, intensity 31; 60.62 deg, intensity 29; 63.86 deg, intensity 16

Crystal structure
```
8
Lattice="6.1068 0.0000 0.0000 0.0000 3.5945 0.0000 -1.9361 0.0000 5.8855" Properties=species:S:1:pos:R:3 pbc="T T T"
Ce 0.9846 0.0000 1.3960
Ce 0.0825 1.7973 4.4133
Ce 4.0882 1.7973 1.4722
Ce 3.1860 0.0000 4.4895
H 2.0853 1.7973 2.9427
C 3.0534 0.0000 0.0000
O -0.9681 0.0000 2.9427
O 0.0000 1.7973 0.0000
```

4.
Computed X-ray diffraction stick pattern of CeP2H2CO6 for Cu Kα (λ = 1.5418 Å), from a structure optimized by DFT (GGA-PBE).
Neutral-atom scattering factors, no anomalous dispersion.

Most intense lines, 2θ from 10° to 90°, in order of rising 2θ:
12.76 deg, intensity 100; 17.84 deg, intensity 15; 21.99 deg, intensity 60; 22.71 deg, intensity 52; 26.00 deg, intensity 37; 26.13 deg, intensity 26; 31.44 deg, intensity 53; 34.43 deg, intensity 28; 36.51 deg, intensity 14; 43.40 deg, intensity 15

Crystal structure
```
24
Lattice="4.2776 -6.9369 0.0000 4.2776 6.9369 0.0000 -2.0932 0.0000 4.9726" Properties=species:S:1:pos:R:3 pbc="T T T"
Ce 4.2776 3.6997 0.0000
Ce 4.2776 -3.6997 0.0000
P 0.8194 1.6052 3.1412
P 0.8194 -1.6052 3.1412
P 5.6427 1.6052 1.8315
P 5.6427 -1.6052 1.8315
H -0.7891 0.0000 3.7672
H 0.5966 0.0000 4.8670
H 5.8655 0.0000 0.1056
H 7.2512 0.0000 1.2054
C 0.3130 0.0000 3.8015
C 6.1490 0.0000 1.1712
O 0.0063 2.6563 3.9604
O 0.5364 1.6775 1.6326
O 0.5364 -1.6775 1.6326
O 2.2835 1.9276 3.5168
O 0.0063 -2.6563 3.9604
O 4.1786 1.9276 1.4558
O 2.2835 -1.9276 3.5168
O 6.4558 2.6563 1.0122
O 4.1786 -1.9276 1.4558
O 5.9257 1.6775 3.3400
O 5.9257 -1.6775 3.3400
O 6.4558 -2.6563 1.0122
```

5.
Computed X-ray diffraction stick pattern of Ce3Hg2C for Cu Kα (λ = 1.5418 Å), from a structure optimized by DFT (GGA-PBE).
Neutral-atom scattering factors, no anomalous dispersion.

Most intense lines, 2θ from 10° to 90°, in order of rising 2θ:
28.73 deg, intensity 46; 30.61 deg, intensity 82; 31.38 deg, intensity 100; 33.13 deg, intensity 59; 34.13 deg, intensity 25; 36.58 deg, intensity 45; 36.90 deg, intensity 52; 37.62 deg, intensity 88; 48.26 deg, intensity 44; 62.12 deg, intensity 24

Crystal structure
```
12
Lattice="4.0427 -6.0607 0.0000 4.0427 6.0607 0.0000 -2.3542 0.0000 5.9875" Properties=species:S:1:pos:R:3 pbc="T T T"
Ce 2.0214 3.0303 0.0000
Ce -0.0434 0.8380 2.7837
Ce -1.2204 -0.8380 5.7775
Ce 0.8443 -3.0303 2.9938
Ce 6.9517 0.8380 0.2101
Ce 5.7746 -0.8380 3.2038
Hg 2.2771 2.2860 4.4907
Hg 3.4542 0.6615 1.4969
Hg 2.2771 -0.6615 4.4907
Hg 3.4542 -2.2860 1.4969
C 3.4542 4.6371 1.4969
C 2.2771 -4.6371 4.4907
```

6.
Computed X-ray diffraction stick pattern of Ce6Hg3C for Cu Kα (λ = 1.5418 Å), from a structure optimized by DFT (GGA-PBE).
Neutral-atom scattering factors, no anomalous dispersion.

Most intense lines, 2θ from 10° to 90°, in order of rising 2θ:
27.71 deg, intensity 43; 29.06 deg, intensity 39; 31.31 deg, intensity 81; 31.75 deg, intensity 57; 33.86 deg, intensity 31; 34.93 deg, intensity 82; 35.84 deg, intensity 31; 36.00 deg, intensity 100; 36.79 deg, intensity 52; 55.34 deg, intensity 31

Crystal structure
```
10
Lattice="5.6424 -3.4397 0.0000 5.6424 3.4397 0.0000 -2.5180 0.0000 6.8399" Properties=species:S:1:pos:R:3 pbc="T T T"
Ce 2.6783 2.0180 4.4211
Ce -0.0920 0.0000 5.7054
Ce 6.0884 2.0180 2.4188
Ce 2.6783 -2.0180 4.4211
Ce 8.8587 0.0000 1.1344
Ce 6.0884 -2.0180 2.4188
Hg 3.3968 0.0000 1.9923
Hg 5.6424 0.0000 0.0000
Hg 5.3699 0.0000 4.8475
C -1.2590 0.0000 3.4199
```

7.
Computed X-ray diffraction stick pattern of Ce4HgC for Cu Kα (λ = 1.5418 Å), from a structure optimized by DFT (GGA-PBE).
Neutral-atom scattering factors, no anomalous dispersion.

Most intense lines, 2θ from 10° to 90°, in order of rising 2θ:
25.44 deg, intensity 20; 26.09 deg, intensity 54; 28.64 deg, intensity 20; 31.53 deg, intensity 53; 32.04 deg, intensity 100; 33.58 deg, intensity 27; 35.74 deg, intensity 33; 38.07 deg, intensity 46; 45.25 deg, intensity 22; 53.63 deg, intensity 18

Crystal structure
```
12
Lattice="4.0997 -6.4210 0.0000 4.0997 6.4210 0.0000 -3.0736 0.0000 5.6746" Properties=species:S:1:pos:R:3 pbc="T T T"
Ce 0.4988 3.5829 4.5612
Ce -0.4192 0.8396 3.9391
Ce 1.1176 -0.8396 1.1018
Ce 3.0903 3.5829 3.9507
Ce 2.0356 -3.5829 1.7239
Ce 4.0082 0.8396 4.5728
Ce 5.5450 -0.8396 1.7355
Ce 4.6271 -3.5829 1.1134
Hg 3.3313 1.4832 1.4186
Hg 1.7945 -1.4832 4.2559
C 1.7945 5.6875 4.2559
C 3.3313 -5.6875 1.4186
```